Dy3Al2Cu: calculated X-ray diffraction stick pattern (Cu Ka), based on a structure optimized by DFT (PBE).
Intensities are scaled so that the largest is 100.

The 10 most intense peaks (2θ = 5–70°), low angle first:
(0 0 1), 7.67°, rel. 9.9
(0 0 3), 23.15°, rel. 24.3
(1 0 0), 25.99°, rel. 38.9
(1 0 3), 35.08°, rel. 100.0
(1 1 0), 37.09°, rel. 44.6
(1 1 3), 44.18°, rel. 18.2
(0 0 6), 47.33°, rel. 9.6
(2 0 0), 53.45°, rel. 15.5
(1 1 6), 61.60°, rel. 17.3
(2 1 3), 65.56°, rel. 32.1

Cell and atoms:
Unit cell a=3.4284 b=3.4284 c=11.5249 alpha=90.00 beta=90.00 gamma=90.00
Space group P4/mmm (No. 123)
Inequivalent atoms, fractional coordinates:
Dy  0.0000  0.0000  0.0000 [1 per cell]
Dy  0.0000  0.0000  0.3469 [2 per cell]
Al  0.5000  0.5000  0.1747 [2 per cell]
Cu  0.5000  0.5000  0.5000 [1 per cell]


DyAl2Cu3: calculated X-ray diffraction stick pattern (Cu Ka), based on a structure optimized by DFT (PBE).
Intensities are scaled so that the largest is 100.

The 10 most intense peaks (2θ = 5–70°), low angle first:
(2 0 0), 18.56°, rel. 31.8
(0 0 2), 33.45°, rel. 43.4
(2 2 1), 34.23°, rel. 62.2
(3 1 1), 34.75°, rel. 100.0
(1 3 0), 36.15°, rel. 53.6
(2 0 2), 38.53°, rel. 31.7
(0 2 2), 41.01°, rel. 20.9
(4 2 1), 47.87°, rel. 32.0
(1 3 2), 50.07°, rel. 34.7
(5 3 0), 60.30°, rel. 22.6

Cell and atoms:
Unit cell a=9.5615 b=7.7197 c=5.3570 alpha=90.00 beta=90.00 gamma=90.00
Space group Cmcm (No. 63)
Inequivalent atoms, fractional coordinates:
Dy  0.0000  0.1730  0.2500 [4 per cell]
Al  0.2142  0.5000  0.0000 [8 per cell]
Cu  0.0000  0.4543  0.7500 [4 per cell]
Cu  0.1527  0.2066  0.7500 [8 per cell]


DyAlCu6: calculated X-ray diffraction stick pattern (Cu Ka), based on a structure optimized by DFT (PBE).
Intensities are scaled so that the largest is 100.

The 10 most intense peaks (2θ = 5–70°), low angle first:
(1 0 0), 18.20°, rel. 33.3
(1 1 0), 25.85°, rel. 4.4
(1 1 1), 31.80°, rel. 18.6
(2 0 0), 36.89°, rel. 40.4
(2 1 0), 41.43°, rel. 100.0
(2 1 1), 45.59°, rel. 86.8
(3 0 0), 56.66°, rel. 9.7
(3 1 1), 63.29°, rel. 5.0
(2 2 2), 66.45°, rel. 3.7
(3 0 2), 69.55°, rel. 21.6

Cell and atoms:
Unit cell a=4.8736 b=4.8736 c=4.8736 alpha=90.00 beta=90.00 gamma=90.00
Space group Pm-3 (No. 200)
Inequivalent atoms, fractional coordinates:
Dy  0.0000  0.0000  0.0000 [1 per cell]
Al  0.5000  0.5000  0.5000 [1 per cell]
Cu  0.0000  0.2594  0.5000 [6 per cell]


Dy3Al3Cu2: calculated X-ray diffraction stick pattern (Cu Ka), based on a structure optimized by DFT (PBE).
Intensities are scaled so that the largest is 100.

The 10 most intense peaks (2θ = 5–70°), low angle first:
(1 3 1), 26.51°, rel. 44.4
(2 1 1), 27.91°, rel. 40.8
(1 4 1), 31.07°, rel. 47.9
(2 4 0), 32.96°, rel. 100.0
(1 1 2), 34.29°, rel. 98.9
(0 6 0), 36.60°, rel. 31.0
(2 4 1), 36.73°, rel. 53.1
(3 0 1), 37.12°, rel. 46.5
(1 3 2), 38.51°, rel. 65.3
(1 7 2), 55.71°, rel. 40.1

Cell and atoms:
Unit cell a=8.0495 b=14.7318 c=5.6317 alpha=90.00 beta=90.00 gamma=90.00
Space group Pnma (No. 62)
Inequivalent atoms, fractional coordinates:
Dy  0.0383  0.1115  0.1187 [8 per cell]
Dy  0.1839  0.2500  0.6136 [4 per cell]
Al  0.1687  0.7500  0.6016 [4 per cell]
Al  0.1881  0.0359  0.6112 [8 per cell]
Cu  0.0978  0.6047  0.3764 [8 per cell]


Dy4AlCu: calculated X-ray diffraction stick pattern (Cu Ka), based on a structure optimized by DFT (PBE).
Intensities are scaled so that the largest is 100.

The 10 most intense peaks (2θ = 5–70°), low angle first:
(1 1 1), 24.13°, rel. 37.0
(1 3 -1), 25.76°, rel. 46.8
(0 4 1), 31.37°, rel. 66.6
(3 1 -1), 32.04°, rel. 87.6
(1 1 -2), 32.63°, rel. 53.2
(2 4 -1), 34.78°, rel. 100.0
(2 2 1), 34.96°, rel. 89.5
(2 2 -2), 36.06°, rel. 24.4
(1 3 -2), 37.75°, rel. 32.7
(4 2 -3), 57.72°, rel. 36.5

Cell and atoms:
Unit cell a=8.6918 b=13.5938 c=5.6076 alpha=90.00 beta=110.74 gamma=90.00
Space group C2/c (No. 15)
Inequivalent atoms, fractional coordinates:
Dy  0.1162  0.1835  0.0691 [8 per cell]
Dy  0.2052  0.4240  0.3433 [8 per cell]
Al  0.0000  0.3786  0.7500 [4 per cell]
Cu  0.0000  0.9999  0.2500 [4 per cell]


Dy2Al4CuIr3: calculated X-ray diffraction stick pattern (Cu Ka), based on a structure optimized by DFT (PBE).
Intensities are scaled so that the largest is 100.

The 10 most intense peaks (2θ = 5–70°), low angle first:
(0 0 3), 24.39°, rel. 35.5
(1 0 2), 27.41°, rel. 38.4
(1 1 0), 31.27°, rel. 26.6
(1 1 1), 32.34°, rel. 43.7
(1 0 3), 33.06°, rel. 70.2
(1 1 2), 35.40°, rel. 100.0
(2 0 0), 44.80°, rel. 58.3
(1 0 5), 47.20°, rel. 47.5
(2 1 3), 56.79°, rel. 30.3
(2 1 5), 67.11°, rel. 33.4

Cell and atoms:
Unit cell a=4.0459 b=4.0459 c=10.9466 alpha=90.00 beta=90.00 gamma=90.00
Space group P-4m2 (No. 115)
Inequivalent atoms, fractional coordinates:
Dy  0.0000  0.5000  0.2446 [2 per cell]
Al  0.0000  0.0000  0.0000 [1 per cell]
Al  0.0000  0.5000  0.6297 [2 per cell]
Al  0.5000  0.5000  0.0000 [1 per cell]
Cu  0.0000  0.0000  0.5000 [1 per cell]
Ir  0.0000  0.5000  0.8591 [2 per cell]
Ir  0.5000  0.5000  0.5000 [1 per cell]


DyAl2Cu2Pd: calculated X-ray diffraction stick pattern (Cu Ka), based on a structure optimized by DFT (PBE).
Intensities are scaled so that the largest is 100.

The 10 most intense peaks (2θ = 5–70°), low angle first:
(1 0 0), 19.13°, rel. 30.3
(1 1 0), 27.19°, rel. 96.0
(1 1 1), 31.84°, rel. 16.1
(1 0 2), 38.30°, rel. 100.0
(2 0 0), 38.83°, rel. 63.3
(2 0 2), 51.75°, rel. 9.5
(2 1 2), 55.68°, rel. 65.7
(2 2 0), 56.08°, rel. 21.2
(3 1 0), 63.41°, rel. 16.9
(3 0 2), 69.95°, rel. 16.2

Cell and atoms:
Unit cell a=4.6385 b=4.6385 c=5.4523 alpha=90.00 beta=90.00 gamma=90.00
Space group P4/mmm (No. 123)
Inequivalent atoms, fractional coordinates:
Dy  0.0000  0.0000  0.0000 [1 per cell]
Al  0.0000  0.5000  0.5000 [2 per cell]
Cu  0.5000  0.5000  0.2276 [2 per cell]
Pd  0.0000  0.0000  0.5000 [1 per cell]


Er2Al2Cu15: calculated X-ray diffraction stick pattern (Cu Ka), based on a structure optimized by DFT (PBE).
Intensities are scaled so that the largest is 100.

The 10 most intense peaks (2θ = 5–70°), low angle first:
(1 1 3), 29.74°, rel. 21.9
(3 0 0), 36.47°, rel. 20.5
(0 2 4), 37.36°, rel. 18.5
(0 3 3), 42.43°, rel. 100.0
(0 0 6), 42.76°, rel. 21.8
(2 1 4), 43.18°, rel. 14.1
(2 2 3), 47.75°, rel. 15.3
(4 1 3), 61.54°, rel. 8.2
(2 2 6), 61.77°, rel. 10.7
(3 3 3), 69.76°, rel. 11.2

Cell and atoms:
Unit cell a=8.5340 b=8.5340 c=12.6881 alpha=90.00 beta=90.00 gamma=120.00
Space group R-3m (No. 166, hexagonal axes)
Inequivalent atoms, fractional coordinates:
Er  0.0000  0.0000  0.1494 [6 per cell]
Al  0.0000  0.0000  0.3958 [6 per cell]
Cu  0.0000  0.2982  0.5000 [18 per cell]
Cu  0.0000  0.5000  0.0000 [9 per cell]
Cu  0.0011  0.5006  0.6516 [18 per cell]


ErAlCu4: calculated X-ray diffraction stick pattern (Cu Ka), based on a structure optimized by DFT (PBE).
Intensities are scaled so that the largest is 100.

The 10 most intense peaks (2θ = 5–70°), low angle first:
(1 0 0), 19.88°, rel. 10.6
(1 0 1), 29.90°, rel. 80.7
(1 1 0), 34.80°, rel. 27.8
(2 0 0), 40.40°, rel. 53.2
(1 1 1), 41.62°, rel. 100.0
(0 0 2), 45.09°, rel. 26.4
(1 1 2), 58.19°, rel. 12.7
(2 1 1), 59.39°, rel. 23.1
(2 0 2), 62.13°, rel. 28.6
(3 0 1), 67.05°, rel. 23.3

Cell and atoms:
Unit cell a=5.1557 b=5.1557 c=4.0211 alpha=90.00 beta=90.00 gamma=120.00
Space group P-6m2 (No. 187)
Inequivalent atoms, fractional coordinates:
Er  0.0000  0.0000  0.0000 [1 per cell]
Al  0.3333  0.6667  0.0000 [1 per cell]
Cu  0.5009  0.0017  0.5000 [3 per cell]
Cu  0.6667  0.3333  0.0000 [1 per cell]


Er3Al2Cu6: calculated X-ray diffraction stick pattern (Cu Ka), based on a structure optimized by DFT (PBE).
Intensities are scaled so that the largest is 100.

The 10 most intense peaks (2θ = 5–70°), low angle first:
(2 1 1), 23.97°, rel. 16.6
(2 2 0), 27.75°, rel. 18.5
(3 1 0), 31.10°, rel. 35.4
(2 2 2), 34.16°, rel. 33.8
(3 2 1), 36.99°, rel. 39.0
(4 0 0), 39.64°, rel. 24.6
(3 3 0), 42.16°, rel. 100.0
(5 2 1), 55.33°, rel. 13.7
(5 3 2), 63.01°, rel. 23.0
(6 2 2), 68.43°, rel. 22.6

Cell and atoms:
Unit cell a=9.0937 b=9.0937 c=9.0937 alpha=90.00 beta=90.00 gamma=90.00
Space group Im-3m (No. 229)
Inequivalent atoms, fractional coordinates:
Er  0.0000  0.0000  0.2781 [12 per cell]
Al  0.2500  0.2500  0.2500 [8 per cell]
Cu  0.0000  0.3342  0.3342 [24 per cell]


Er6AlCu: calculated X-ray diffraction stick pattern (Cu Ka), based on a structure optimized by DFT (PBE).
Intensities are scaled so that the largest is 100.

The 10 most intense peaks (2θ = 5–70°), low angle first:
(2 0 2), 27.48°, rel. 26.8
(0 0 6), 31.20°, rel. 14.6
(2 0 4), 32.97°, rel. 100.0
(2 2 0), 36.25°, rel. 46.3
(2 2 6), 48.56°, rel. 17.3
(4 0 0), 52.20°, rel. 16.4
(2 2 8), 56.68°, rel. 12.3
(2 0 10), 59.91°, rel. 17.3
(4 0 6), 62.08°, rel. 8.4
(4 2 4), 63.14°, rel. 30.8

Cell and atoms:
Unit cell a=7.0037 b=7.0151 c=17.2002 alpha=90.00 beta=90.00 gamma=90.00
Space group Fmmm (No. 69)
Inequivalent atoms, fractional coordinates:
Er  0.0000  0.0000  0.2476 [8 per cell]
Er  0.2500  0.2500  0.1037 [16 per cell]
Al  0.0000  0.0000  0.0000 [4 per cell]
Cu  0.0000  0.0000  0.5000 [4 per cell]


Er2AlCu3: calculated X-ray diffraction stick pattern (Cu Ka), based on a structure optimized by DFT (PBE).
Intensities are scaled so that the largest is 100.

The 10 most intense peaks (2θ = 5–70°), low angle first:
(0 0 4), 23.58°, rel. 10.6
(0 2 2), 23.73°, rel. 20.5
(2 2 2), 35.37°, rel. 100.0
(0 2 6), 41.54°, rel. 34.0
(0 4 0), 41.80°, rel. 16.7
(4 0 0), 53.23°, rel. 8.0
(2 0 8), 55.56°, rel. 9.1
(2 4 4), 55.83°, rel. 17.6
(4 2 6), 69.69°, rel. 13.9
(4 4 0), 69.87°, rel. 6.9

Cell and atoms:
Unit cell a=6.8837 b=8.6440 c=15.0897 alpha=90.00 beta=90.00 gamma=90.00
Space group Fmmm (No. 69)
Inequivalent atoms, fractional coordinates:
Er  0.2423  0.0000  0.0000 [8 per cell]
Er  0.2500  0.2500  0.2500 [8 per cell]
Al  0.0000  0.0000  0.3340 [8 per cell]
Cu  0.0000  0.0000  0.1675 [8 per cell]
Cu  0.0000  0.2480  0.4168 [16 per cell]